This entry pairs a crystal structure of BaV10O15 with its theoretical powder XRD pattern. Radiation: Cu Kα, 1.54184 Å. Structure: a crystal structure in Alexandria, relaxed with GGA+U.

Structure:
```
data_BaV10O15
_space_group_name_H-M_alt 'C m c e'
_space_group_IT_number 64
_space_group_name_Hall '-C 2ac 2'
_cell_length_a 11.793
_cell_length_b 10.504
_cell_length_c 9.680
_cell_angle_alpha 90.00
_cell_angle_beta 90.00
_cell_angle_gamma 90.00
loop_
_atom_site_label
_atom_site_fract_x
_atom_site_fract_y
_atom_site_fract_z
_atom_site_occupancy
Ba1 0.000 0.000 0.000 1
V1 0.000 0.180 0.369 1
V2 0.126 0.085 0.644 1
V3 0.244 0.163 0.119 1
O1 0.000 0.000 0.500 1
O2 0.000 0.153 0.758 1
O3 0.124 0.088 0.258 1
O4 0.125 0.234 0.505 1
O5 0.240 0.000 0.500 1
O6 0.250 0.179 0.750 1
```

Largest 10 diffraction maxima, by angle, 10° ≤ 2θ ≤ 90°:
2θ 25.89, 3.441 Å, intensity 64, hkl 3 1 1
2θ 28.14, 3.171 Å, intensity 65, hkl 1 3 1
2θ 29.94, 2.984 Å, intensity 100, hkl 1 1 3
2θ 30.51, 2.930 Å, intensity 51, hkl 3 1 2
2θ 35.59, 2.522 Å, intensity 47, hkl 3 3 1
2θ 39.02, 2.308 Å, intensity 40, hkl 0 4 2
2θ 39.70, 2.270 Å, intensity 74, hkl 4 2 2
2θ 45.09, 2.011 Å, intensity 64, hkl 4 2 3
2θ 51.89, 1.762 Å, intensity 54, hkl 4 2 4
2θ 61.61, 1.505 Å, intensity 57, hkl 4 6 0